No. 1
LiScTi: computed PXRD pattern (λ = 1.5418 Å (Cu Kα)), based on DFT lattice parameters and positions (PBE).

Principal peaks in the range 2θ from 10° to 80°, by angle:
2θ = 33.48°, intensity 26; 2θ = 34.02°, intensity 16; 2θ = 35.74°, intensity 22; 2θ = 38.09°, intensity 100; 2θ = 41.37°, intensity 34; 2θ = 49.78°, intensity 12; 2θ = 59.85°, intensity 17; 2θ = 73.19°, intensity 12

Atomic structure:
```
LiScTi
1.0
5.354 0.000 0.000
0.000 3.090 0.000
-0.025 0.000 15.075
Li Sc Ti
4 4 4
Direct
0.169 0.000 0.414
0.331 0.500 0.586
0.669 0.500 0.414
0.831 0.000 0.586
0.165 0.000 0.768
0.335 0.500 0.232
0.665 0.500 0.768
0.835 0.000 0.232
0.167 0.000 0.074
0.333 0.500 0.926
0.667 0.500 0.074
0.833 0.000 0.926
```

=====

No. 2
Y6O: computed PXRD pattern (λ = 1.5418 Å (Cu Kα)), based on DFT lattice parameters and positions (PBE).

Principal peaks in the range 2θ from 10° to 80°, by angle:
2θ = 29.76°, intensity 40; 2θ = 31.08°, intensity 32; 2θ = 32.73°, intensity 100; 2θ = 37.21°, intensity 25; 2θ = 50.86°, intensity 17; 2θ = 56.34°, intensity 20; 2θ = 60.80°, intensity 27; 2θ = 61.80°, intensity 15

Atomic structure:
```
Y6O
1.0
11.511 0.000 0.000
0.000 10.777 0.000
0.000 0.000 6.218
Y O
24 4
Direct
0.000 0.250 0.232
0.000 0.750 0.768
0.002 0.090 0.749
0.002 0.410 0.749
0.242 0.250 0.588
0.245 0.088 0.075
0.245 0.412 0.075
0.255 0.588 0.575
0.255 0.912 0.575
0.258 0.750 0.088
0.498 0.590 0.249
0.498 0.910 0.249
0.500 0.250 0.268
0.500 0.750 0.732
0.502 0.090 0.751
0.502 0.410 0.751
0.742 0.250 0.912
0.745 0.088 0.425
0.745 0.412 0.425
0.755 0.588 0.925
0.755 0.912 0.925
0.758 0.750 0.412
0.998 0.590 0.251
0.998 0.910 0.251
0.124 0.250 0.913
0.376 0.750 0.413
0.624 0.250 0.587
0.876 0.750 0.087
```

=====

No. 3
Al6Fe5Cu: computed PXRD pattern (λ = 1.5418 Å (Cu Kα)), based on DFT lattice parameters and positions (PBE).

Principal peaks in the range 2θ from 10° to 80°, by angle:
2θ = 30.63°, intensity 11; 2θ = 31.17°, intensity 20; 2θ = 44.27°, intensity 100; 2θ = 44.67°, intensity 48; 2θ = 55.14°, intensity 7; 2θ = 63.79°, intensity 8; 2θ = 65.01°, intensity 15; 2θ = 72.70°, intensity 3

Atomic structure:
```
Al6Fe5Cu
1.0
2.028 -6.089 0.000
2.028 6.089 0.000
0.000 0.000 5.837
Al Fe Cu
6 5 1
Direct
0.000 0.000 0.243
0.000 0.000 0.757
0.328 0.672 0.247
0.328 0.672 0.753
0.672 0.328 0.247
0.672 0.328 0.753
0.162 0.838 0.000
0.163 0.837 0.500
0.500 0.500 0.000
0.837 0.163 0.500
0.838 0.162 0.000
0.500 0.500 0.500
```

=====

No. 4
La4Th: computed PXRD pattern (λ = 1.5418 Å (Cu Kα)), based on DFT lattice parameters and positions (PBE).

Principal peaks in the range 2θ from 10° to 80°, by angle:
2θ = 29.39°, intensity 33; 2θ = 29.73°, intensity 100; 2θ = 34.36°, intensity 67; 2θ = 49.16°, intensity 24; 2θ = 49.60°, intensity 24; 2θ = 58.32°, intensity 14; 2θ = 58.71°, intensity 28; 2θ = 58.90°, intensity 15

Atomic structure:
```
La4Th
1.0
3.676 0.000 0.000
-1.838 3.183 0.000
0.000 0.000 45.586
La Th
12 3
Direct
0.000 0.000 0.103
0.000 0.000 0.300
0.000 0.000 0.700
0.000 0.000 0.897
0.333 0.667 0.366
0.333 0.667 0.563
0.333 0.667 0.770
0.333 0.667 0.967
0.667 0.333 0.033
0.667 0.333 0.230
0.667 0.333 0.437
0.667 0.333 0.634
0.000 0.000 0.500
0.333 0.667 0.167
0.667 0.333 0.833
```

=====

No. 5
Mg2C: computed PXRD pattern (λ = 1.5418 Å (Cu Kα)), based on DFT lattice parameters and positions (PBE).

Principal peaks in the range 2θ from 10° to 80°, by angle:
2θ = 37.00°, intensity 100; 2θ = 39.59°, intensity 34; 2θ = 46.50°, intensity 22; 2θ = 47.88°, intensity 44; 2θ = 54.06°, intensity 16; 2θ = 63.81°, intensity 15; 2θ = 70.07°, intensity 21; 2θ = 75.07°, intensity 10

Atomic structure:
```
Mg2C
1.0
3.800 0.000 0.000
0.000 3.800 0.000
0.000 0.000 5.687
Mg C
4 2
Direct
0.250 0.250 0.108
0.250 0.750 0.500
0.750 0.250 0.500
0.750 0.750 0.892
0.250 0.250 0.725
0.750 0.750 0.275
```

=====

No. 6
Sm2Ho2Zn3: computed PXRD pattern (λ = 1.5418 Å (Cu Kα)), based on DFT lattice parameters and positions (PBE).

Principal peaks in the range 2θ from 10° to 80°, by angle:
2θ = 25.08°, intensity 30; 2θ = 35.76°, intensity 100; 2θ = 44.18°, intensity 9; 2θ = 51.44°, intensity 12; 2θ = 58.07°, intensity 10; 2θ = 64.22°, intensity 23; 2θ = 64.32°, intensity 12; 2θ = 75.74°, intensity 9

Atomic structure:
```
Sm2Ho2Zn3
1.0
5.014 0.000 0.000
2.506 4.352 0.000
2.501 1.445 8.206
Sm Ho Zn
2 2 3
Direct
0.125 0.128 0.120
0.875 0.872 0.880
0.376 0.377 0.370
0.624 0.623 0.630
0.000 0.000 0.500
0.255 0.253 0.738
0.745 0.747 0.262
```

=====

No. 7
Ge19As4I4: computed PXRD pattern (λ = 1.5418 Å (Cu Kα)), based on DFT lattice parameters and positions (PBE).

Principal peaks in the range 2θ from 10° to 80°, by angle:
2θ = 28.57°, intensity 29; 2θ = 29.76°, intensity 38; 2θ = 30.91°, intensity 100; 2θ = 33.11°, intensity 13; 2θ = 34.16°, intensity 14; 2θ = 49.08°, intensity 37; 2θ = 50.60°, intensity 21; 2θ = 52.09°, intensity 46

Atomic structure:
```
Ge19As4I4
1.0
10.823 0.000 0.000
0.000 10.823 0.000
0.000 0.000 10.823
Ge As I
38 8 8
Direct
0.000 0.250 0.500
0.000 0.750 0.500
0.003 0.117 0.310
0.003 0.883 0.690
0.117 0.310 0.003
0.117 0.690 0.997
0.182 0.182 0.182
0.182 0.818 0.818
0.190 0.383 0.503
0.190 0.617 0.497
0.250 0.500 0.000
0.310 0.003 0.117
0.310 0.997 0.883
0.318 0.318 0.682
0.318 0.682 0.318
0.383 0.497 0.810
0.383 0.503 0.190
0.497 0.190 0.617
0.497 0.810 0.383
0.500 0.000 0.250
0.500 0.000 0.750
0.503 0.190 0.383
0.503 0.810 0.617
0.617 0.497 0.190
0.617 0.503 0.810
0.682 0.318 0.318
0.682 0.682 0.682
0.690 0.003 0.883
0.690 0.997 0.117
0.750 0.500 0.000
0.810 0.383 0.497
0.810 0.617 0.503
0.818 0.182 0.818
0.818 0.818 0.182
0.883 0.310 0.997
0.883 0.690 0.003
0.997 0.117 0.690
0.997 0.883 0.310
0.184 0.184 0.816
0.184 0.816 0.184
0.316 0.316 0.316
0.316 0.684 0.684
0.684 0.316 0.684
0.684 0.684 0.316
0.816 0.184 0.184
0.816 0.816 0.816
0.000 0.000 0.000
0.000 0.500 0.250
0.000 0.500 0.750
0.250 0.000 0.500
0.500 0.250 0.000
0.500 0.500 0.500
0.500 0.750 0.000
0.750 0.000 0.500
```

=====

No. 8
F: computed PXRD pattern (λ = 1.5418 Å (Cu Kα)), based on DFT lattice parameters and positions (PBE).

Principal peaks in the range 2θ from 10° to 80°, by angle:
2θ = 25.41°, intensity 13; 2θ = 33.48°, intensity 100; 2θ = 33.58°, intensity 45; 2θ = 36.61°, intensity 40; 2θ = 36.95°, intensity 18; 2θ = 57.50°, intensity 9; 2θ = 57.88°, intensity 13; 2θ = 71.54°, intensity 9

Atomic structure:
```
F
1.0
5.509 0.000 0.000
0.000 3.205 0.000
-1.788 0.000 7.009
F
8
Direct
0.007 0.000 0.100
0.062 0.500 0.599
0.438 0.000 0.401
0.493 0.500 0.900
0.507 0.500 0.100
0.562 0.000 0.599
0.938 0.500 0.401
0.993 0.000 0.900
```